# 1
Diffraction record for KSmNi4O12. The PXRD pattern is computed, not measured: it uses a cell relaxed with GGA+U and CuKα.

Main lines, by angle (10 to 90 degrees two-theta):
2θ (°)  intensity
11.59  29.0
16.36  29.0
20.09  89.9
33.05  100.0
33.21  50.4
39.13  30.4
47.19  23.2
47.68  45.3
59.24  39.4
69.34  24.1

Structure:
Unit cell a=7.6348 b=5.4191 c=5.4191 alpha=89.40 beta=90.00 gamma=90.00
Element x y z (fractional)
K: 0.0000 0.0000 0.0000
Sm: 0.5000 0.4779 0.4779
Ni: 0.2467 0.4922 0.9873
Ni: 0.2467 0.9873 0.4922
Ni: 0.7533 0.4922 0.9873
Ni: 0.7533 0.9873 0.4922
O: 0.0000 0.5079 0.9766
O: 0.0000 0.9766 0.5079
O: 0.2546 0.2630 0.2630
O: 0.2716 0.2512 0.7285
O: 0.2716 0.7285 0.2512
O: 0.2847 0.7146 0.7146
O: 0.5000 0.0174 0.4760
O: 0.5000 0.4760 0.0174
O: 0.7153 0.7146 0.7146
O: 0.7284 0.2512 0.7285
O: 0.7284 0.7285 0.2512
O: 0.7454 0.2630 0.2630

=====

# 2
Diffraction record for SrNd5Fe6As6O6. The PXRD pattern is computed, not measured: it uses a cell relaxed with GGA+U and CuKα.

Main lines, by angle (10 to 90 degrees two-theta):
2θ (°)  intensity
28.99  100.0
30.81  19.9
32.31  20.6
36.25  17.0
36.48  13.7
44.12  16.4
44.16  16.4
50.18  22.3
53.67  35.4
64.19  10.3

Structure:
Unit cell a=9.1788 b=10.1941 c=11.6065 alpha=73.44 beta=71.52 gamma=68.79
Element x y z (fractional)
Sr: 0.2102 0.3669 0.2302
Sr: 0.7898 0.6331 0.7698
Nd: 0.1248 0.6211 0.9394
Nd: 0.1262 0.6193 0.4377
Nd: 0.2057 0.3774 0.7301
Nd: 0.4583 0.6191 0.1052
Nd: 0.4591 0.6218 0.6049
Nd: 0.5409 0.3782 0.3951
Nd: 0.5417 0.3809 0.8948
Nd: 0.7943 0.6226 0.2699
Nd: 0.8738 0.3807 0.5623
Nd: 0.8752 0.3789 0.0606
Fe: 0.1638 0.9982 0.2104
Fe: 0.1653 0.0005 0.9605
Fe: 0.1674 0.0013 0.7095
Fe: 0.1679 0.9985 0.4596
Fe: 0.4994 0.0002 0.1244
Fe: 0.5002 0.0009 0.6247
Fe: 0.4998 0.9991 0.3753
Fe: 0.5006 0.9998 0.8756
Fe: 0.8321 0.0015 0.5404
Fe: 0.8326 0.9987 0.2905
Fe: 0.8347 0.9995 0.0395
Fe: 0.8362 0.0018 0.7896
As: 0.0584 0.8243 0.1539
As: 0.0582 0.8273 0.6535
As: 0.2739 0.1729 0.0127
As: 0.2750 0.1741 0.5130
As: 0.3876 0.8285 0.8216
As: 0.3922 0.8254 0.3188
As: 0.6078 0.1746 0.6812
As: 0.6124 0.1715 0.1784
As: 0.7250 0.8259 0.4870
As: 0.7261 0.8271 0.9873
As: 0.9418 0.1727 0.3465
As: 0.9416 0.1757 0.8461
O: 0.0091 0.4930 0.6212
O: 0.0089 0.4931 0.8780
O: 0.3328 0.5014 0.7901
O: 0.3354 0.4988 0.5428
O: 0.3354 0.5060 0.0350
O: 0.3378 0.5037 0.2944
O: 0.6622 0.4963 0.7056
O: 0.6646 0.4940 0.9650
O: 0.6646 0.5012 0.4572
O: 0.6672 0.4986 0.2099
O: 0.9911 0.5069 0.1220
O: 0.9909 0.5070 0.3788

=====

# 3
Diffraction record for CoP2O7. The PXRD pattern is computed, not measured: it uses a cell relaxed with GGA+U and CuKα.

Main lines, by angle (10 to 90 degrees two-theta):
2θ (°)  intensity
13.41  55.5
15.59  20.3
16.26  100.0
19.22  26.8
19.78  21.5
27.95  46.6
28.91  77.9
30.32  52.1
30.65  45.2
38.87  15.4

Structure:
Unit cell a=6.2119 b=6.6246 c=6.9544 alpha=88.81 beta=66.64 gamma=85.31
Element x y z (fractional)
Co: 0.0996 0.1415 0.2883
Co: 0.9004 0.8585 0.7117
P: 0.2201 0.6437 0.2481
P: 0.3359 0.8894 0.8510
P: 0.6641 0.1106 0.1490
P: 0.7799 0.3563 0.7519
O: 0.0647 0.8300 0.3728
O: 0.0997 0.4498 0.2727
O: 0.2011 0.8482 0.7151
O: 0.2435 0.0834 0.9799
O: 0.3075 0.6991 0.0047
O: 0.4021 0.1163 0.2932
O: 0.4289 0.6003 0.3116
O: 0.5711 0.3997 0.6884
O: 0.5979 0.8837 0.7068
O: 0.6925 0.3009 0.9953
O: 0.7565 0.9166 0.0201
O: 0.7989 0.1518 0.2849
O: 0.9003 0.5502 0.7273
O: 0.9353 0.1700 0.6272